For Ba2YI7, the GGA-PBE geometry in the Materials Project gives the computed powder XRD pattern in this record (copper Kα).
Lines closer than 0.1° are merged.

Most intense lines, 2θ = 15–90°, sorted by position:
| 2θ (°) | d/Å | I/Imax | h k l |
| --- | --- | --- | --- |
| 25.61 | 3.478 | 54 | 2 2 -2 |
| 27.04 | 3.298 | 71 | 2 0 2 |
| 27.13 | 3.287 | 100 | 0 2 4 |
| 27.68 | 3.223 | 47 | 2 1 2 |
| 27.76 | 3.213 | 45 | 2 3 -1 |
| 30.05 | 2.974 | 32 | 0 5 1 |
| 34.58 | 2.594 | 40 | 2 1 -5 |
| 49.98 | 1.825 | 25 | 0 0 8 |

Structural model:
a = 8.347 Å, b = 15.184 Å, c = 14.876 Å
α = 90.00°, β = 101.36°, γ = 90.00°
Atoms (fractional coordinates):
Ba (0.166, 0.000, 0.250)
Ba (0.254, 0.768, 0.858)
Ba (0.270, 0.433, 0.356)
Ba (0.271, 0.183, 0.734)
Ba (0.729, 0.683, 0.266)
Ba (0.730, 0.933, 0.644)
Ba (0.746, 0.268, 0.142)
Ba (0.834, 0.500, 0.750)
Y (0.317, 0.716, 0.448)
Y (0.334, 0.483, 0.948)
Y (0.666, 0.983, 0.052)
Y (0.683, 0.216, 0.552)
I (0.032, 0.844, 0.394)
I (0.035, 0.594, 0.963)
I (0.056, 0.586, 0.470)
I (0.098, 0.332, 0.879)
I (0.115, 0.979, 0.787)
I (0.116, 0.224, 0.293)
I (0.291, 0.555, 0.754)
I (0.298, 0.647, 0.250)
I (0.373, 0.396, 0.134)
I (0.373, 0.799, 0.635)
I (0.373, 0.879, 0.091)
I (0.417, 0.077, 0.507)
I (0.449, 0.139, 0.986)
I (0.449, 0.352, 0.605)
I (0.551, 0.639, 0.014)
I (0.551, 0.852, 0.395)
I (0.583, 0.577, 0.493)
I (0.627, 0.299, 0.365)
I (0.627, 0.379, 0.909)
I (0.627, 0.896, 0.866)
I (0.702, 0.147, 0.750)
I (0.709, 0.055, 0.246)
I (0.884, 0.724, 0.707)
I (0.885, 0.479, 0.213)
I (0.902, 0.832, 0.121)
I (0.944, 0.086, 0.530)
I (0.965, 0.094, 0.037)
I (0.968, 0.344, 0.606)

=====

For BaYI5, the GGA-PBE geometry in the Materials Project gives the computed powder XRD pattern in this record (copper Kα).
Lines closer than 0.1° are merged.

Most intense lines, 2θ = 15–90°, sorted by position:
| 2θ (°) | d/Å | I/Imax | h k l |
| --- | --- | --- | --- |
| 25.27 | 3.524 | 100 | 1 0 2 |
| 25.51 | 3.491 | 45 | 1 1 2 |
| 26.33 | 3.385 | 46 | 0 8 0 |
| 27.13 | 3.287 | 50 | 2 5 -2 |
| 27.46 | 3.248 | 87 | 0 8 1 |
| 27.52 | 3.241 | 54 | 1 3 -4 |
| 28.13 | 3.173 | 44 | 2 5 -1 |
| 28.52 | 3.129 | 61 | 2 3 -4 |

Structural model:
a = 8.271 Å, b = 27.057 Å, c = 14.110 Å
α = 90.00°, β = 124.90°, γ = 90.00°
Atoms (fractional coordinates):
Ba (0.149, 0.240, 0.488)
Ba (0.149, 0.260, 0.988)
Ba (0.157, 0.528, 0.749)
Ba (0.157, 0.972, 0.249)
Ba (0.843, 0.028, 0.751)
Ba (0.843, 0.472, 0.251)
Ba (0.851, 0.740, 0.012)
Ba (0.851, 0.760, 0.512)
Y (0.197, 0.628, 0.443)
Y (0.197, 0.872, 0.943)
Y (0.344, 0.613, 0.109)
Y (0.344, 0.887, 0.609)
Y (0.656, 0.113, 0.391)
Y (0.656, 0.387, 0.891)
Y (0.803, 0.128, 0.057)
Y (0.803, 0.372, 0.557)
I (0.003, 0.726, 0.328)
I (0.003, 0.774, 0.828)
I (0.059, 0.125, 0.604)
I (0.059, 0.375, 0.104)
I (0.148, 0.576, 0.235)
I (0.148, 0.924, 0.735)
I (0.169, 0.650, 0.645)
I (0.169, 0.850, 0.145)
I (0.241, 0.091, 0.175)
I (0.241, 0.409, 0.675)
I (0.289, 0.524, 0.538)
I (0.289, 0.976, 0.038)
I (0.327, 0.503, 0.055)
I (0.327, 0.997, 0.555)
I (0.368, 0.713, 0.207)
I (0.368, 0.787, 0.707)
I (0.394, 0.162, 0.948)
I (0.394, 0.338, 0.448)
I (0.467, 0.144, 0.509)
I (0.467, 0.356, 0.009)
I (0.533, 0.644, 0.991)
I (0.533, 0.856, 0.491)
I (0.606, 0.662, 0.552)
I (0.606, 0.838, 0.052)
I (0.632, 0.213, 0.293)
I (0.632, 0.287, 0.793)
I (0.673, 0.003, 0.445)
I (0.673, 0.497, 0.945)
I (0.711, 0.024, 0.962)
I (0.711, 0.476, 0.462)
I (0.759, 0.591, 0.325)
I (0.759, 0.909, 0.825)
I (0.831, 0.150, 0.855)
I (0.831, 0.350, 0.355)
I (0.852, 0.076, 0.265)
I (0.852, 0.424, 0.765)
I (0.941, 0.625, 0.896)
I (0.941, 0.875, 0.396)
I (0.997, 0.226, 0.172)
I (0.997, 0.274, 0.672)

=====

For BaYI5, the GGA-PBE geometry in the Materials Project gives the computed powder XRD pattern in this record (copper Kα).
Lines closer than 0.1° are merged.

Most intense lines, 2θ = 15–90°, sorted by position:
| 2θ (°) | d/Å | I/Imax | h k l |
| --- | --- | --- | --- |
| 15.09 | 5.871 | 44 | 0 2 0 |
| 23.91 | 3.722 | 47 | 1 2 -4 |
| 26.56 | 3.356 | 63 | 3 0 -6 |
| 27.26 | 3.272 | 87 | 4 0 -2 |
| 28.36 | 3.147 | 100 | 0 3 3 |
| 28.43 | 3.140 | 93 | 1 0 4 |
| 28.85 | 3.095 | 46 | 1 3 2 |
| 29.41 | 3.037 | 55 | 1 3 -4 |

Structural model:
a = 13.921 Å, b = 11.742 Å, c = 20.308 Å
α = 90.00°, β = 128.77°, γ = 90.00°
Atoms (fractional coordinates):
Ba (0.168, 0.217, 0.361)
Ba (0.168, 0.283, 0.861)
Ba (0.299, 0.734, 0.539)
Ba (0.299, 0.766, 0.039)
Ba (0.701, 0.234, 0.961)
Ba (0.701, 0.266, 0.461)
Ba (0.832, 0.717, 0.139)
Ba (0.832, 0.783, 0.639)
Y (0.288, 0.692, 0.307)
Y (0.288, 0.808, 0.807)
Y (0.291, 0.222, 0.664)
Y (0.291, 0.278, 0.164)
Y (0.709, 0.722, 0.836)
Y (0.709, 0.778, 0.336)
Y (0.712, 0.192, 0.193)
Y (0.712, 0.308, 0.693)
I (0.055, 0.220, 0.639)
I (0.055, 0.280, 0.139)
I (0.080, 0.731, 0.126)
I (0.080, 0.769, 0.626)
I (0.129, 0.550, 0.330)
I (0.129, 0.950, 0.830)
I (0.217, 0.601, 0.857)
I (0.217, 0.899, 0.357)
I (0.229, 0.043, 0.534)
I (0.229, 0.457, 0.034)
I (0.236, 0.090, 0.046)
I (0.236, 0.410, 0.546)
I (0.389, 0.025, 0.792)
I (0.389, 0.475, 0.292)
I (0.402, 0.132, 0.318)
I (0.402, 0.368, 0.818)
I (0.433, 0.686, 0.762)
I (0.433, 0.814, 0.262)
I (0.491, 0.182, 0.008)
I (0.491, 0.318, 0.508)
I (0.509, 0.682, 0.492)
I (0.509, 0.818, 0.992)
I (0.567, 0.186, 0.738)
I (0.567, 0.314, 0.238)
I (0.598, 0.632, 0.182)
I (0.598, 0.868, 0.682)
I (0.611, 0.525, 0.708)
I (0.611, 0.975, 0.208)
I (0.764, 0.590, 0.454)
I (0.764, 0.910, 0.954)
I (0.771, 0.543, 0.966)
I (0.771, 0.957, 0.466)
I (0.783, 0.101, 0.643)
I (0.783, 0.399, 0.143)
I (0.871, 0.050, 0.170)
I (0.871, 0.450, 0.670)
I (0.920, 0.231, 0.374)
I (0.920, 0.269, 0.874)
I (0.945, 0.720, 0.861)
I (0.945, 0.780, 0.361)